For Th4SbTe2, a DFT-relaxed cell (PBE, Alexandria) gives the calculated powder XRD pattern in this record (Cu Kα, 1.54184 Å).
Neutral-atom scattering factors, no anomalous dispersion.

The 6 most intense peaks (2θ from 10° to 90°), by angle:
2theta	d [Å]	I_rel
29.85	2.994	100
35.48	2.530	79
47.02	1.932	26
49.07	1.857	28
60.26	1.536	27
63.71	1.461	17

Structure:
a b c (Å): 8.1985 8.1985 8.1985
angles (deg): 109.45 109.45 109.50
Fractional coordinates of all 14 atoms:
Th (0.1261, 0.0269, 0.7501)
Th (0.1260, 0.5268, 0.7499)
Th (0.2768, 0.3760, 0.2499)
Th (0.4732, 0.2231, 0.5993)
Th (0.6239, 0.8740, 0.4007)
Th (0.6240, 0.8739, 0.9007)
Th (0.7769, 0.3761, 0.2501)
Th (0.9731, 0.7232, 0.0993)
Sb (0.2500, 0.7500, 0.5000)
Sb (0.5000, 0.5000, 0.0000)
Te (0.0009, 0.1250, 0.3759)
Te (0.3750, 0.9991, 0.1241)
Te (0.7491, 0.6250, 0.6241)
Te (0.8750, 0.2509, 0.8759)

=====

For BaGa3Au9, a DFT-relaxed cell (PBE, Alexandria) gives the calculated powder XRD pattern in this record (Cu Kα, 1.54184 Å).
Neutral-atom scattering factors, no anomalous dispersion.

The 6 most intense peaks (2θ from 10° to 90°), by angle:
2theta	d [Å]	I_rel
32.34	2.768	47
35.66	2.518	100
37.11	2.423	48
37.60	2.392	95
40.19	2.244	80
41.28	2.187	59

Structure:
a b c (Å): 7.6654 7.6654 6.7398
angles (deg): 96.11 96.11 137.30
Fractional coordinates of all 13 atoms:
Ba (0.0000, 0.0000, 0.0000)
Ga (0.0000, 0.5000, 0.0000)
Ga (0.5000, 0.0000, 0.0000)
Ga (0.5000, 0.5000, 0.5000)
Au (0.0000, 0.0000, 0.5000)
Au (0.0506, 0.6939, 0.6606)
Au (0.3064, 0.5368, 0.7732)
Au (0.3061, 0.9494, 0.3394)
Au (0.4632, 0.6936, 0.2268)
Au (0.5368, 0.3064, 0.7732)
Au (0.6939, 0.0506, 0.6606)
Au (0.6936, 0.4632, 0.2268)
Au (0.9494, 0.3061, 0.3394)

=====

For La5In4Au, a DFT-relaxed cell (PBE, Alexandria) gives the calculated powder XRD pattern in this record (Cu Kα, 1.54184 Å).
Neutral-atom scattering factors, no anomalous dispersion.

The 6 most intense peaks (2θ from 10° to 90°), by angle:
2theta	d [Å]	I_rel
31.81	2.813	100
33.53	2.673	45
48.15	1.890	16
55.55	1.654	18
58.87	1.569	34
66.46	1.407	10

Structure:
a b c (Å): 3.7795 3.7795 21.0665
angles (deg): 90.00 90.00 90.00
Fractional coordinates of all 10 atoms:
La (0.0000, 0.0000, 0.0000)
La (0.0000, 0.0000, 0.2049)
La (0.0000, 0.0000, 0.4109)
La (0.0000, 0.0000, 0.5891)
La (0.0000, 0.0000, 0.7951)
In (0.5000, 0.5000, 0.1026)
In (0.5000, 0.5000, 0.3081)
In (0.5000, 0.5000, 0.6919)
In (0.5000, 0.5000, 0.8974)
Au (0.5000, 0.5000, 0.5000)

=====

For Dy5Mg2Tc2, a DFT-relaxed cell (PBE, Alexandria) gives the calculated powder XRD pattern in this record (Cu Kα, 1.54184 Å).
Neutral-atom scattering factors, no anomalous dispersion.

The 6 most intense peaks (2θ from 10° to 90°), by angle:
2theta	d [Å]	I_rel
10.01	8.840	100
30.83	2.900	27
31.33	2.856	41
31.74	2.819	41
33.98	2.638	48
37.08	2.425	30

Structure:
a b c (Å): 9.5679 9.5679 7.4823
angles (deg): 90.00 90.00 44.99
Fractional coordinates of all 18 atoms:
Dy (0.0000, 0.0000, 0.0000)
Dy (0.0680, 0.7005, 0.6856)
Dy (0.2005, 0.5680, 0.1856)
Dy (0.2995, 0.9320, 0.6856)
Dy (0.4320, 0.7995, 0.1856)
Dy (0.5000, 0.5000, 0.5000)
Dy (0.5680, 0.2005, 0.8144)
Dy (0.7005, 0.0680, 0.3144)
Dy (0.7995, 0.4320, 0.8144)
Dy (0.9320, 0.2995, 0.3144)
Mg (0.2321, 0.2321, 0.0000)
Mg (0.2679, 0.2679, 0.5000)
Mg (0.7321, 0.7321, 0.5000)
Mg (0.7679, 0.7679, 0.0000)
Tc (0.1088, 0.8912, 0.3816)
Tc (0.3912, 0.6088, 0.8816)
Tc (0.6088, 0.3912, 0.1184)
Tc (0.8912, 0.1088, 0.6184)